[1]
Li3MnF6: theoretical powder diffractogram (a wavelength of 1.5418 Å), based on a cell relaxed with GGA+U.
No peak broadening, texture or thermal motion is included.

Structural model:
```
Li3MnF6
1.0
5.1723 0.0000 0.0000
0.4371 8.4422 0.0000
0.3967 4.0098 7.7701
Li Mn F
9 3 18
Direct
0.0000 0.0000 0.0000
0.0083 0.4678 0.2552
0.0522 0.7065 0.7503
0.3682 0.3539 0.9298
0.3836 0.0687 0.6714
0.4040 0.5554 0.4672
0.8356 0.0136 0.6007
0.8442 0.2557 0.1204
0.8523 0.7459 0.3338
0.3352 0.0284 0.3374
0.5140 0.6997 0.0138
0.8992 0.3701 0.6676
0.0392 0.2613 0.9230
0.0572 0.5961 0.6002
0.0676 0.9497 0.2454
0.1165 0.2381 0.2738
0.1662 0.9370 0.5905
0.2125 0.3006 0.5924
0.2784 0.6130 0.2403
0.2820 0.5806 0.9385
0.2982 0.9135 0.9140
0.5230 0.8109 0.4064
0.5386 0.1613 0.1055
0.5790 0.1133 0.4391
0.5828 0.4477 0.7262
0.7183 0.7981 0.7776
0.7404 0.4934 0.0921
0.7522 0.8086 0.0924
0.7646 0.1415 0.7293
0.7690 0.4985 0.4146
```

Most intense lines, 15 to 90 degrees two-theta, low angle first:
2θ/deg  d [Å]  I (rel.)
19.87  4.469  55
20.38  4.357  100
20.53  4.326  57
21.05  4.220  68
21.60  4.113  51
29.07  3.071  62
39.29  2.293  31
40.63  2.221  24
46.66  1.947  23
62.34  1.489  23

[2]
LiMn2OF3: theoretical powder diffractogram (a wavelength of 1.5418 Å), based on a cell relaxed with GGA+U.
No peak broadening, texture or thermal motion is included.

Structural model:
```
LiMn2OF3
1.0
6.2960 0.0000 0.0000
-3.1480 5.4525 0.0000
0.0000 0.0000 5.2429
Li Mn O F
2 4 2 6
Direct
0.3333 0.6667 0.0236
0.6667 0.3333 0.9764
0.0000 0.0000 0.0000
0.0000 0.5000 0.5000
0.5000 0.0000 0.5000
0.5000 0.5000 0.5000
0.3333 0.6667 0.6674
0.6667 0.3333 0.3326
0.1733 0.3465 0.2154
0.1733 0.8267 0.2154
0.3465 0.1733 0.7846
0.6535 0.8267 0.2154
0.8267 0.1733 0.7846
0.8267 0.6535 0.7846
```

Most intense lines, 15 to 90 degrees two-theta, low angle first:
2θ/deg  d [Å]  I (rel.)
16.91  5.243  22
23.54  3.779  100
32.85  2.726  29
33.19  2.699  26
37.17  2.419  60
47.40  1.918  28
48.16  1.890  70
58.65  1.574  32
60.60  1.528  12
79.20  1.209  13

[3]
LiMnOF2: theoretical powder diffractogram (a wavelength of 1.5418 Å), based on a cell relaxed with GGA+U.
No peak broadening, texture or thermal motion is included.

Structural model:
```
LiMnOF2
1.0
4.3106 -2.6774 0.0000
4.3106 2.6774 0.0000
-3.3133 0.0000 4.6284
Li Mn O F
2 2 2 4
Direct
0.2122 0.7878 0.5000
0.7878 0.2122 0.0000
0.0429 0.5377 0.8720
0.5377 0.0429 0.3720
0.1671 0.9078 0.1569
0.9078 0.1671 0.6569
0.2946 0.4396 0.6245
0.4396 0.2946 0.1245
0.6451 0.8135 0.6656
0.8135 0.6451 0.1656
```

Most intense lines, 15 to 90 degrees two-theta, low angle first:
2θ/deg  d [Å]  I (rel.)
22.85  3.892  100
25.41  3.505  48
31.58  2.833  24
33.26  2.694  34
38.86  2.317  19
46.68  1.946  21
51.29  1.781  23
52.23  1.751  25
56.12  1.639  17
61.20  1.514  20

[4]
Li4MnOF5: theoretical powder diffractogram (a wavelength of 1.5418 Å), based on a cell relaxed with GGA+U.
No peak broadening, texture or thermal motion is included.

Structural model:
```
Li4MnOF5
1.0
2.8159 -5.3277 0.0000
2.8159 5.3277 0.0000
-0.0869 0.0000 12.7507
Li Mn O F
12 3 3 15
Direct
0.0000 0.0000 0.0000
0.0029 0.0029 0.6280
0.0128 0.6889 0.1740
0.0136 0.0136 0.3261
0.0156 0.6611 0.4791
0.3305 0.6582 0.0083
0.3369 0.6586 0.3160
0.3671 0.3671 0.4782
0.6582 0.3305 0.0083
0.6586 0.3369 0.3160
0.6611 0.0156 0.4791
0.6889 0.0128 0.1740
0.0151 0.6797 0.8103
0.3518 0.3518 0.8106
0.6797 0.0151 0.8103
0.3062 0.6389 0.8210
0.6389 0.3062 0.8210
0.9714 0.9714 0.8245
0.0019 0.0019 0.4855
0.0111 0.6723 0.9652
0.0166 0.6901 0.3209
0.0253 0.7119 0.6652
0.3301 0.3301 0.6653
0.3352 0.7228 0.1481
0.3359 0.6684 0.4752
0.3466 0.3466 0.3227
0.3491 0.3491 0.9669
0.6684 0.3359 0.4752
0.6723 0.0111 0.9652
0.6901 0.0166 0.3209
0.7119 0.0253 0.6652
0.7228 0.3352 0.1481
0.9458 0.9458 0.1398
```

Most intense lines, 15 to 90 degrees two-theta, low angle first:
2θ/deg  d [Å]  I (rel.)
20.90  4.250  35
29.74  3.004  100
30.57  2.924  59
31.78  2.816  68
32.57  2.750  32
32.97  2.717  56
42.54  2.125  56
51.46  1.776  32
55.36  1.660  45
68.91  1.363  18

[5]
LiMn2OF3: theoretical powder diffractogram (a wavelength of 1.5418 Å), based on a cell relaxed with GGA+U.
No peak broadening, texture or thermal motion is included.

Structural model:
```
LiMn2OF3
1.0
6.2833 0.0000 0.0000
0.0000 6.3658 0.0000
-6.2745 0.0000 9.0922
Li Mn O F
4 8 4 12
Direct
0.1450 0.0356 0.3950
0.1450 0.4644 0.8950
0.8550 0.5356 0.1050
0.8550 0.9644 0.6050
0.0000 0.0000 0.0000
0.0000 0.5000 0.5000
0.4842 0.2411 0.7343
0.4842 0.2589 0.2343
0.5000 0.0000 0.0000
0.5000 0.5000 0.5000
0.5158 0.7411 0.7657
0.5158 0.7589 0.2657
0.2636 0.2042 0.0137
0.2636 0.2958 0.5137
0.7364 0.7042 0.4863
0.7364 0.7958 0.9863
0.2501 0.5039 0.2448
0.2501 0.9961 0.7448
0.2606 0.0037 0.2553
0.2606 0.4963 0.7553
0.2744 0.7395 0.0243
0.2744 0.7605 0.5243
0.7256 0.2395 0.4757
0.7256 0.2605 0.9757
0.7394 0.5037 0.2447
0.7394 0.9963 0.7447
0.7499 0.0039 0.2552
0.7499 0.4961 0.7552
```

Most intense lines, 15 to 90 degrees two-theta, low angle first:
2θ/deg  d [Å]  I (rel.)
17.00  5.215  87
17.15  5.169  100
32.75  2.734  37
33.05  2.710  41
33.29  2.691  33
39.65  2.273  48
40.34  2.236  98
43.86  2.064  18
57.85  1.594  57
58.78  1.571  16

[6]
Li3MnOF3: theoretical powder diffractogram (a wavelength of 1.5418 Å), based on a cell relaxed with GGA+U.
No peak broadening, texture or thermal motion is included.

Structural model:
```
Li3MnOF3
1.0
4.9574 -1.5307 0.0000
4.9574 1.5307 0.0000
-1.9845 0.0000 10.2585
Li Mn O F
6 2 2 6
Direct
0.0000 0.0000 0.0000
0.0000 0.0000 0.5000
0.2501 0.2501 0.3869
0.4987 0.4987 0.7496
0.5013 0.5013 0.2504
0.7499 0.7499 0.6131
0.2430 0.2430 0.8795
0.7570 0.7570 0.1205
0.3802 0.3802 0.0676
0.6198 0.6198 0.9324
0.1235 0.1235 0.6738
0.1294 0.1294 0.2095
0.3740 0.3740 0.5603
0.6260 0.6260 0.4397
0.8706 0.8706 0.7905
0.8765 0.8765 0.3262
```

Most intense lines, 15 to 90 degrees two-theta, low angle first:
2θ/deg  d [Å]  I (rel.)
18.23  4.867  58
18.64  4.761  30
21.65  4.106  18
34.46  2.602  24
41.81  2.161  14
42.08  2.147  100
42.87  2.110  45
60.48  1.531  14
61.24  1.514  25
62.02  1.496  26